Structure and theoretical XRD peak list of CsRb5Cd2 (a structure optimized by DFT (PBE); Cu Ka).

```
data_CsRb5Cd2
_chemical_formula_sum 'Cs2 Rb10 Cd4'
_cell_length_a 6.293
_cell_length_b 12.046
_cell_length_c 14.574
_cell_angle_alpha 90.00
_cell_angle_beta 90.00
_cell_angle_gamma 90.00
_space_group_name_H-M_alt 'I m m m'
_space_group_IT_number 71
_space_group_name_Hall '-I 2 2'
loop_
_atom_site_label
_atom_site_fract_x
_atom_site_fract_y
_atom_site_fract_z
_atom_site_occupancy
Cs1 0.000 0.000 0.000 1
Rb1 0.000 0.187 0.333 1
Rb2 0.000 0.500 0.000 1
Cd1 0.000 0.500 0.267 1
```

Top 10 peaks for 15 to 90 degrees two-theta, sorted by position:
| two_theta | intensity | hkl |
| --- | --- | --- |
| 20.05 | 28 | 1 1 2 |
| 21.31 | 60 | 1 2 1 |
| 23.13 | 100 | 1 0 3 |
| 26.33 | 47 | 1 3 0 |
| 28.37 | 47 | 2 0 0 |
| 28.64 | 44 | 0 2 4 |
| 29.09 | 51 | 1 3 2 |
| 40.75 | 33 | 2 2 4 |
| 47.22 | 19 | 3 0 3 |
| 51.34 | 21 | 1 6 3 |

Structure and theoretical XRD peak list of Pm3Er8 (a structure optimized by DFT (PBE); Cu Ka).

```
data_Pm3Er8
_chemical_formula_sum 'Pm9 Er24'
_cell_length_a 4.5012
_cell_length_b 4.5012
_cell_length_c 66.1813
_cell_angle_alpha 90.00
_cell_angle_beta 90.00
_cell_angle_gamma 120.00
_space_group_name_H-M_alt 'R -3 m'
_space_group_IT_number 166
_space_group_name_Hall '-R 3 2"'
loop_
_atom_site_label
_atom_site_fract_x
_atom_site_fract_y
_atom_site_fract_z
_atom_site_occupancy
Pm1 0.0000 0.0000 0.0000 1
Pm2 0.0000 0.0000 0.2618 1
Er1 0.0000 0.0000 0.1048 1
Er2 0.0000 0.0000 0.1731 1
Er3 0.0000 0.0000 0.3697 1
Er4 0.0000 0.0000 0.4677 1
```

Top 10 peaks for 15 to 90 degrees two-theta, sorted by position:
| two_theta | intensity | hkl |
| --- | --- | --- |
| 25.26 | 27 | 0 1 8 |
| 27.26 | 100 | 0 1 11 |
| 29.70 | 28 | 0 1 14 |
| 34.53 | 49 | 1 0 19 |
| 40.06 | 64 | 1 1 0 |
| 49.14 | 20 | 2 0 11 |
| 53.90 | 16 | 0 2 19 |
| 58.59 | 21 | 1 1 30 |
| 65.19 | 17 | 1 2 11 |
| 69.24 | 14 | 2 1 19 |

Structure and theoretical XRD peak list of TbTiF6 (a structure optimized by DFT (PBE); Cu Ka).

```
data_TbTiF6
_chemical_formula_sum 'Tb2 Ti2 F12'
_cell_length_a 5.914
_cell_length_b 5.929
_cell_length_c 8.374
_cell_angle_alpha 90.00
_cell_angle_beta 90.00
_cell_angle_gamma 90.00
_space_group_name_H-M_alt 'I m m m'
_space_group_IT_number 71
_space_group_name_Hall '-I 2 2'
loop_
_atom_site_label
_atom_site_fract_x
_atom_site_fract_y
_atom_site_fract_z
_atom_site_occupancy
Tb1 0.000 0.000 0.000 1
Ti1 0.000 0.000 0.500 1
F1 0.000 0.000 0.263 1
F2 0.237 0.237 0.500 1
```

Top 10 peaks for 15 to 90 degrees two-theta, sorted by position:
| two_theta | intensity | hkl |
| --- | --- | --- |
| 18.35 | 28 | 1 0 1 |
| 21.22 | 100 | 1 1 0 |
| 30.18 | 37 | 2 0 0 |
| 35.55 | 22 | 2 1 1 |
| 43.21 | 25 | 2 2 0 |
| 47.30 | 10 | 2 1 3 |
| 48.61 | 34 | 2 2 2 |
| 53.61 | 15 | 3 1 2 |
| 62.75 | 12 | 2 2 4 |
| 67.02 | 11 | 3 3 0 |

Structure and theoretical XRD peak list of SrLi16Ca2 (a structure optimized by DFT (PBE); Cu Ka).

```
data_SrLi16Ca2
_chemical_formula_sum 'Sr3 Li48 Ca6'
_cell_length_a 10.3600
_cell_length_b 10.3600
_cell_length_c 15.0233
_cell_angle_alpha 90.00
_cell_angle_beta 90.00
_cell_angle_gamma 120.00
_space_group_name_H-M_alt 'R 3 m'
_space_group_IT_number 160
_space_group_name_Hall 'R 3 -2"'
loop_
_atom_site_label
_atom_site_fract_x
_atom_site_fract_y
_atom_site_fract_z
_atom_site_occupancy
Sr1 0.0000 0.0000 0.0000 1
Li1 0.0000 0.0000 0.2142 1
Li2 0.0024 0.5012 0.9454 1
Li3 0.0207 0.3524 0.7690 1
Li4 0.0230 0.5115 0.2534 1
Li5 0.1791 0.3582 0.9326 1
Ca1 0.0000 0.0000 0.4419 1
Ca2 0.0000 0.0000 0.7396 1
```

Top 10 peaks for 15 to 90 degrees two-theta, sorted by position:
| two_theta | intensity | hkl |
| --- | --- | --- |
| 15.38 | 30 | 0 1 2 |
| 17.12 | 100 | 1 1 0 |
| 24.73 | 43 | 1 1 3 |
| 25.71 | 36 | 1 0 4 |
| 28.89 | 16 | 1 2 2 |
| 29.88 | 43 | 3 0 0 |
| 31.06 | 27 | 0 2 4 |
| 34.63 | 33 | 2 2 0 |
| 34.94 | 26 | 0 3 3 |
| 35.67 | 31 | 2 1 4 |

Structure and theoretical XRD peak list of CrFeRe (a structure optimized by DFT (PBE); Cu Ka).

```
data_CrFeRe
_chemical_formula_sum 'Cr4 Fe4 Re4'
_cell_length_a 4.617
_cell_length_b 4.787
_cell_length_c 6.589
_cell_angle_alpha 90.00
_cell_angle_beta 90.00
_cell_angle_gamma 90.00
_space_group_name_H-M_alt 'I m m a'
_space_group_IT_number 74
_space_group_name_Hall '-I 2b 2'
loop_
_atom_site_label
_atom_site_fract_x
_atom_site_fract_y
_atom_site_fract_z
_atom_site_occupancy
Cr1 0.250 0.250 0.250 1
Fe1 0.000 0.000 0.000 1
Re1 0.000 0.250 0.630 1
```

Top 10 peaks for 15 to 90 degrees two-theta, sorted by position:
| two_theta | intensity | hkl |
| --- | --- | --- |
| 22.96 | 34 | 0 1 1 |
| 23.53 | 22 | 1 0 1 |
| 37.58 | 25 | 0 2 0 |
| 38.48 | 100 | 1 1 2 |
| 39.02 | 26 | 2 0 0 |
| 44.82 | 66 | 1 2 1 |
| 45.43 | 27 | 0 1 3 |
| 45.75 | 99 | 1 0 3 |
| 74.73 | 22 | 0 1 5 |
| 82.45 | 27 | 2 2 4 |